Computed powder X-ray diffraction pattern
Compound: KLiWO4
Radiation: Cu Kα X-rays
Structure: DFT lattice parameters and positions (PBE+U)
Kinematic intensities with the Lorentz-polarization factor, no thermal factor.

Largest 12 diffraction maxima, sorted by position, 2θ = 10–90°:
2θ (°), Rel. int., h k l
16.99, 15, 1 0 0
17.51, 33, 0 0 2
19.13, 100, 1 0 1
24.49, 28, 1 0 2
29.65, 34, 1 1 0
31.55, 24, 1 0 3
34.64, 19, 1 1 2
35.51, 24, 2 0 1
46.90, 26, 2 1 1
48.17, 10, 1 0 5
53.82, 11, 2 1 3
65.07, 10, 3 1 1

Structural model:
abc: 6.0268 6.0268 10.1316
angles: 90.00 90.00 120.00
Fractional positions:
K (0.0000, 0.0000, 0.0000)
K (0.0000, 0.0000, 0.5000)
Li (0.3333, 0.6667, 0.0212)
Li (0.6667, 0.3333, 0.5212)
W (0.3333, 0.6667, 0.6509)
W (0.6667, 0.3333, 0.1509)
O (0.0090, 0.5045, 0.5869)
O (0.3333, 0.6667, 0.8298)
O (0.4955, 0.5045, 0.5869)
O (0.4955, 0.9910, 0.5869)
O (0.5045, 0.0090, 0.0869)
O (0.5045, 0.4955, 0.0869)
O (0.6667, 0.3333, 0.3298)
O (0.9910, 0.4955, 0.0869)